# 1
Diffraction record for Lu3Ni4Te. The PXRD pattern is calculated, not measured: it uses a structure optimized by DFT (GGA-PBE) and Cu Kα.
Lines closer than 0.1° are merged.

Crystal structure
```
Lu3Ni4Te
1.0
5.2773 0.0000 0.0000
0.0000 4.0191 0.0000
-0.1679 0.0000 6.7652
Lu Ni Te
3 4 1
direct
0.0000 0.0000 0.0000
0.2444 0.0000 0.5024
0.7471 0.5000 0.3590
0.0102 0.5000 0.7203
0.2369 0.5000 0.2144
0.5043 0.0000 0.1386
0.7408 0.0000 0.6475
0.4979 0.5000 0.8506
```

Most intense lines, 5° ≤ 2θ ≤ 70°, by intensity:
| two_theta | I_rel |
| --- | --- |
| 34.66 | 100 |
| 31.10 | 59 |
| 59.22 | 50 |
| 45.12 | 49 |
| 30.75 | 49 |
| 36.24 | 45 |
| 36.88 | 44 |
| 39.06 | 41 |
| 42.87 | 41 |
| 43.42 | 39 |

# 2
Diffraction record for Tl3OsSe2S2. The PXRD pattern is calculated, not measured: it uses a structure optimized by DFT (GGA-PBE) and Cu Kα.
Lines closer than 0.1° are merged.

Crystal structure
```
Tl3OsSe2S2
1.0
0.0000 5.6762 3.9233
5.3247 0.0000 3.9233
5.3247 5.6762 0.0000
Tl Os Se S
3 1 2 2
direct
0.0000 0.0000 0.0000
0.0572 0.0572 0.4428
0.5572 0.5572 0.9428
0.5041 0.5041 0.4959
0.1614 0.5014 0.4986
0.5014 0.1614 0.8386
0.5016 0.8346 0.4984
0.8346 0.5016 0.1654
```

Most intense lines, 5° ≤ 2θ ≤ 70°, by intensity:
| two_theta | I_rel |
| --- | --- |
| 32.44 | 100 |
| 22.90 | 79 |
| 22.66 | 33 |
| 33.66 | 29 |
| 39.18 | 28 |
| 52.59 | 25 |
| 31.52 | 25 |
| 28.25 | 19 |
| 59.43 | 18 |
| 51.24 | 18 |

# 3
Diffraction record for BaSrFeAs2. The PXRD pattern is calculated, not measured: it uses a structure optimized by DFT (GGA-PBE) and Cu Kα.
Lines closer than 0.1° are merged.

Crystal structure
```
BaSrFeAs2
1.0
2.2124 -8.4669 0.0000
2.2124 8.4669 0.0000
0.0000 0.0000 7.6539
Ba Sr Fe As
2 2 2 4
direct
0.2093 0.7907 0.5000
0.7907 0.2093 0.0000
0.0317 0.9683 0.1900
0.9683 0.0317 0.6900
0.4143 0.5857 0.3242
0.5857 0.4143 0.8242
0.1525 0.8475 0.8969
0.4447 0.5553 0.9865
0.5553 0.4447 0.4865
0.8475 0.1525 0.3969
```

Most intense lines, 5° ≤ 2θ ≤ 70°, by intensity:
| two_theta | I_rel |
| --- | --- |
| 28.15 | 100 |
| 34.83 | 93 |
| 25.56 | 70 |
| 33.32 | 55 |
| 40.79 | 49 |
| 33.85 | 46 |
| 36.79 | 37 |
| 43.99 | 29 |
| 35.38 | 27 |
| 23.24 | 26 |

# 4
Diffraction record for Li4AlInIr2. The PXRD pattern is calculated, not measured: it uses a structure optimized by DFT (GGA-PBE) and Cu Kα.
Lines closer than 0.1° are merged.

Crystal structure
```
Li4AlInIr2
1.0
4.2989 0.0000 0.0000
0.0000 4.2989 0.0000
0.0000 0.0000 6.1874
Li Al In Ir
4 1 1 2
direct
0.0000 0.0000 0.0000
0.0000 0.5000 0.7373
0.5000 0.0000 0.2627
0.5000 0.5000 0.5000
0.0000 0.0000 0.5000
0.5000 0.5000 0.0000
0.0000 0.5000 0.2745
0.5000 0.0000 0.7255
```

Most intense lines, 5° ≤ 2θ ≤ 70°, by intensity:
| two_theta | I_rel |
| --- | --- |
| 25.23 | 100 |
| 41.65 | 49 |
| 49.66 | 32 |
| 42.04 | 26 |
| 48.99 | 14 |
| 29.38 | 12 |
| 66.49 | 11 |
| 60.96 | 9 |
| 32.83 | 8 |
| 67.04 | 7 |

Number 1 is which compound?
Lu3Ni4Te